Entry 1:
Diffraction record for CuSe. The X-ray powder pattern is calculated, not measured: it uses a PBE-relaxed structure and copper Kα.

Peak list (10 most intense, 2θ = 10–80°, sorted by position)
- d 4.358, intensity 20.3, (0 0 4)
- d 3.174, intensity 22.7, (1 0 2)
- d 2.940, intensity 21.9, (1 0 3)
- d 2.905, intensity 37.0, (0 0 6)
- d 2.685, intensity 100.0, (1 0 4)
- d 2.437, intensity 17.7, (1 0 5)
- d 1.968, intensity 85.4, (1 1 0)
- d 1.629, intensity 38.0, (1 1 6)
- d 1.587, intensity 19.3, (2 0 4)
- d 1.552, intensity 25.0, (1 0 10)

Cell and atoms:
```
CuSe
1.0
3.9354 0.0000 0.0000
-1.9677 3.4081 0.0000
0.0000 0.0000 17.4317
Cu Se
6 6
Direct
0.3333 0.6667 0.0385 Cu
0.3333 0.6667 0.2500 Cu
0.3333 0.6667 0.4615 Cu
0.6667 0.3333 0.5385 Cu
0.6667 0.3333 0.7500 Cu
0.6667 0.3333 0.9615 Cu
0.0000 0.0000 0.0898 Se
0.0000 0.0000 0.4102 Se
0.0000 0.0000 0.5898 Se
0.0000 0.0000 0.9102 Se
0.3333 0.6667 0.7500 Se
0.6667 0.3333 0.2500 Se
```



Entry 2:
Diffraction record for Cu9Se5. The X-ray powder pattern is calculated, not measured: it uses a PBE-relaxed structure and copper Kα.

Peak list (10 most intense, 2θ = 10–80°, sorted by position)
- d 3.314, intensity 41.3, (0 2 -1)
- d 2.870, intensity 6.9, (2 2 0)
- d 2.029, intensity 100.0, (3 2 3)
- d 1.733, intensity 4.6, (0 0 5)
- d 1.730, intensity 12.2, (3 0 4)
- d 1.728, intensity 1.7, (4 2 1)
- d 1.437, intensity 5.1, (2 0 6)
- d 1.434, intensity 10.2, (4 4 0)
- d 1.317, intensity 4.9, (2 -4 3)
- d 1.316, intensity 2.4, (4 0 -3)

Cell and atoms:
```
Cu9Se5
1.0
7.0210 0.0000 0.0000
2.3332 7.7710 0.0000
2.3482 1.4096 8.6647
Cu Se
18 10
Direct
0.0494 0.4495 0.1494 Cu
0.0493 0.9514 0.1494 Cu
0.1504 0.8503 0.4507 Cu
0.1509 0.3490 0.4497 Cu
0.2541 0.2495 0.7471 Cu
0.3490 0.1509 0.0462 Cu
0.3505 0.6502 0.0489 Cu
0.4460 0.0516 0.3491 Cu
0.4510 0.5496 0.3501 Cu
0.5490 0.4504 0.6499 Cu
0.5540 0.9484 0.6509 Cu
0.6495 0.3498 0.9511 Cu
0.6510 0.8491 0.9538 Cu
0.7459 0.7505 0.2529 Cu
0.8491 0.6510 0.5503 Cu
0.8496 0.1497 0.5493 Cu
0.9507 0.0486 0.8506 Cu
0.9506 0.5505 0.8506 Cu
0.0954 0.1512 0.3002 Se
0.1006 0.6498 0.2999 Se
0.2980 0.9472 0.8984 Se
0.2992 0.4545 0.8987 Se
0.4968 0.7497 0.5031 Se
0.5032 0.2503 0.4969 Se
0.7008 0.5455 0.1013 Se
0.7020 0.0528 0.1016 Se
0.8994 0.3502 0.7001 Se
0.9046 0.8488 0.6998 Se
```



Entry 3:
Diffraction record for Cu9Se5. The X-ray powder pattern is calculated, not measured: it uses a PBE-relaxed structure and copper Kα.

Peak list (10 most intense, 2θ = 10–80°, sorted by position)
- d 3.375, intensity 52.1, (1 0 -1)
- d 3.340, intensity 100.0, (1 -1 1)
- d 2.329, intensity 15.7, (0 2 2)
- d 2.074, intensity 53.6, (0 1 3)
- d 2.067, intensity 37.2, (2 -1 0)
- d 2.062, intensity 38.6, (2 3 2)
- d 2.046, intensity 70.3, (2 2 -1)
- d 2.042, intensity 19.6, (0 3 -1)
- d 1.756, intensity 27.8, (3 1 0)
- d 1.751, intensity 36.4, (3 2 3)

Cell and atoms:
```
Cu9Se5
1.0
5.8058 0.0000 0.0000
2.8861 6.5045 0.0000
2.8992 0.1581 6.5127
Cu Se
9 5
Direct
0.0000 0.0000 0.0000 Cu
0.0114 0.6908 0.4230 Cu
0.1955 0.3864 0.2030 Cu
0.2135 0.0842 0.6206 Cu
0.4105 0.7924 0.3730 Cu
0.5319 0.0817 0.9662 Cu
0.6169 0.1826 0.5853 Cu
0.7391 0.4796 0.1628 Cu
0.7842 0.5901 0.7921 Cu
0.1416 0.2951 0.8819 Se
0.3371 0.6913 0.0796 Se
0.5563 0.0923 0.2914 Se
0.7283 0.4900 0.5008 Se
0.9364 0.8854 0.6984 Se
```